Computed powder XRD pattern of V8GaC4 for λ = 1.5418 Å (Cu Kα), from a structure optimized by DFT (GGA-PBE).
Kinematic intensities with the Lorentz-polarization factor, no thermal factor.

Cell and atoms:
```
data_V8GaC4
_cell_length_a 13.8269
_cell_length_b 2.8904
_cell_length_c 9.4971
_cell_angle_alpha 90.00
_cell_angle_beta 128.91
_cell_angle_gamma 90.00
_symmetry_space_group_name_H-M 'C 1 2/m 1'
_symmetry_Int_Tables_number 12
loop_
_symmetry_equiv_pos_as_xyz
'x,y,z'
'-x,-y,-z'
'-x,y,-z'
'x,-y,z'
'x+1/2,y+1/2,z'
'-x+1/2,-y+1/2,-z'
'-x+1/2,y+1/2,-z'
'x+1/2,-y+1/2,z'
loop_
_atom_site_label
_atom_site_type_symbol
_atom_site_fract_x
_atom_site_fract_y
_atom_site_fract_z
V1 V 0.0398 0.0000 0.2479
V2 V 0.1205 0.5000 0.0836
V3 V 0.1689 0.5000 0.8377
V4 V 0.2047 0.5000 0.5760
Ga1 Ga 0.0000 0.0000 0.5000
C1 C 0.1452 0.0000 0.9608
C2 C 0.1672 0.5000 0.3330
```

Top 6 peaks for 5 to 70 degrees two-theta, most intense first:
2θ/deg  intensity  hkl
42.39  100  4 0 1
40.07  72  3 1 0
39.42  47  6 0 -3
40.45  41  2 0 -4
36.20  28  1 1 1
64.90  25  1 1 4